Simulated powder diffraction line list
Compound: PmAg2I4
Radiation: λ = 1.5418 Å (Cu Kα)
Structure: DFT lattice parameters and positions (GGA-PBE)

Principal peaks in the range 2θ from 10° to 90°, in order of falling intensity:
- 2θ 26.01, intensity 100, hkl 2 1 1
- 2θ 40.57, intensity 71, hkl 3 1 2
- 2θ 29.75, intensity 36, hkl 2 2 0
- 2θ 30.86, intensity 31, hkl 2 0 2
- 2θ 45.49, intensity 30, hkl 1 4 1
- 2θ 41.63, intensity 28, hkl 2 1 3
- 2θ 15.29, intensity 26, hkl 1 0 1
- 2θ 26.95, intensity 23, hkl 1 1 2
- 2θ 68.64, intensity 22, hkl 5 3 2
- 2θ 22.43, intensity 22, hkl 0 0 2

Atomic structure:
a = 8.495 Å, b = 8.495 Å, c = 7.927 Å
α = 90.00°, β = 90.00°, γ = 90.00°
Space group I4/m (No. 87)
Unique sites:
Pm 0.000 0.000 0.000
Ag 0.000 0.500 0.250
I 0.176 0.677 0.000